Record 1
Diffraction record for NbNiHg. The PXRD pattern is theoretical, not measured: it uses a DFT-relaxed cell (GGA-PBE, Alexandria) and Cu Ka.
Kinematic intensities with the Lorentz-polarization factor, no thermal factor.

Largest 8 diffraction maxima, by angle, 2θ from 10° to 90°:
d_spacing  2θ/deg  I/Imax  hkl
3.400  26.21  64  0 1 2
2.409  37.32  84  0 1 -2
2.392  37.61  100  0 2 2
2.294  39.28  82  1 1 2
2.278  39.56  40  0 0 3
2.257  39.95  58  1 0 -2
2.161  41.80  64  1 -1 0
2.137  42.28  52  1 2 0

abc: 2.9106 5.3031 7.2989
angles: 69.98 89.04 74.33
Space group P-1 (No. 2)
Inequivalent atoms, fractional coordinates:
Nb 0.1742 0.2324 0.0234 [2 per cell]
Ni 0.4634 0.5911 0.7305 [2 per cell]
Hg 0.1405 0.1814 0.6210 [2 per cell]

Record 2
Diffraction record for NbNiHg. The PXRD pattern is theoretical, not measured: it uses a DFT-relaxed cell (GGA-PBE, Alexandria) and Cu Ka.
Kinematic intensities with the Lorentz-polarization factor, no thermal factor.

Largest 8 diffraction maxima, by angle, 2θ from 10° to 90°:
d_spacing  2θ/deg  I/Imax  hkl
3.346  26.64  18  1 1 0
2.659  33.71  17  0 4 1
2.312  38.95  100  1 3 1
2.253  40.01  21  0 6 0
2.153  41.97  21  0 0 2
1.556  59.38  13  0 6 2
1.312  71.98  12  1 9 1
1.271  74.66  15  1 3 3

abc: 3.4530 13.5196 4.3052
angles: 90.00 90.00 90.00
Space group Cmcm (No. 63)
Inequivalent atoms, fractional coordinates:
Nb 0.0000 0.2436 0.2500 [4 per cell]
Ni 0.0000 0.3995 0.7500 [4 per cell]
Hg 0.0000 0.0750 0.7500 [4 per cell]

Record 3
Diffraction record for Nb2NiHg2S6. The PXRD pattern is theoretical, not measured: it uses a DFT-relaxed cell (GGA-PBE, Alexandria) and Cu Ka.
Kinematic intensities with the Lorentz-polarization factor, no thermal factor.

Largest 8 diffraction maxima, by angle, 2θ from 10° to 90°:
d_spacing  2θ/deg  I/Imax  hkl
5.219  16.99  72  0 2 0
4.502  19.72  97  0 2 1
4.448  19.96  100  0 0 2
3.385  26.33  56  0 2 2
2.812  31.82  52  2 0 0
2.631  34.08  30  1 3 -2
2.504  35.86  34  0 4 1
2.250  40.07  30  1 3 -3

abc: 5.8145 10.4379 9.1978
angles: 90.00 104.71 90.00
Space group C2/m (No. 12)
Inequivalent atoms, fractional coordinates:
Nb 0.0000 0.1561 0.0000 [4 per cell]
Ni 0.0000 0.5000 0.0000 [2 per cell]
Hg 0.0000 0.2502 0.5000 [4 per cell]
S 0.0911 0.3364 0.8419 [8 per cell]
S 0.1180 0.0000 0.8311 [4 per cell]

Record 4
Diffraction record for Nb2Hg2O7. The PXRD pattern is theoretical, not measured: it uses a DFT-relaxed cell (GGA-PBE, Alexandria) and Cu Ka.
Kinematic intensities with the Lorentz-polarization factor, no thermal factor.

Largest 8 diffraction maxima, by angle, 2θ from 10° to 90°:
d_spacing  2θ/deg  I/Imax  hkl
3.076  29.03  100  2 2 2
2.664  33.64  37  4 0 0
2.445  36.76  10  3 3 1
1.884  48.31  43  4 4 0
1.607  57.35  45  6 2 2
1.538  60.16  12  4 4 4
1.222  78.19  18  6 6 2
1.191  80.64  16  8 4 0

abc: 10.6570 10.6570 10.6570
angles: 90.00 90.00 90.00
Space group Fd-3m (No. 227, origin choice 2)
Inequivalent atoms, fractional coordinates:
Nb 0.0000 0.0000 0.0000 [16 per cell]
Hg 0.0000 0.0000 0.5000 [16 per cell]
O 0.0642 0.3750 0.3750 [48 per cell]
O 0.1250 0.1250 0.6250 [8 per cell]

Record 5
Diffraction record for Nb2Hg4O9. The PXRD pattern is theoretical, not measured: it uses a DFT-relaxed cell (GGA-PBE, Alexandria) and Cu Ka.
Kinematic intensities with the Lorentz-polarization factor, no thermal factor.

Largest 8 diffraction maxima, by angle, 2θ from 10° to 90°:
d_spacing  2θ/deg  I/Imax  hkl
3.468  25.69  100  1 1 -3
3.018  29.60  64  1 0 4
3.001  29.77  76  -1 1 1
2.945  30.35  71  2 1 1
2.910  30.72  67  1 2 2
2.828  31.64  56  0 1 5
2.346  38.37  30  0 2 -2
2.200  41.03  30  2 0 -4

abc: 5.9710 5.9991 15.5392
angles: 81.98 88.45 60.43
Space group P-1 (No. 2)
Inequivalent atoms, fractional coordinates:
Nb 0.0124 0.3221 0.1486 [2 per cell]
Nb 0.0260 0.1574 0.3507 [2 per cell]
Hg 0.3127 0.8445 0.0088 [2 per cell]
Hg 0.3138 0.0663 0.7935 [2 per cell]
Hg 0.3583 0.2826 0.5302 [2 per cell]
Hg 0.3644 0.5259 0.2981 [2 per cell]
O 0.0403 0.3361 0.8737 [2 per cell]
O 0.0540 0.0074 0.2349 [2 per cell]
O 0.1219 0.3294 0.4278 [2 per cell]
O 0.1811 0.5342 0.7358 [2 per cell]
O 0.2227 0.8901 0.5953 [2 per cell]
O 0.2674 0.6292 0.9251 [2 per cell]
O 0.3068 0.1110 0.0807 [2 per cell]
O 0.3380 0.2345 0.2463 [2 per cell]
O 0.3584 0.7935 0.3789 [2 per cell]

Record 6
Diffraction record for NbHgPO6. The PXRD pattern is theoretical, not measured: it uses a DFT-relaxed cell (GGA-PBE, Alexandria) and Cu Ka.
Kinematic intensities with the Lorentz-polarization factor, no thermal factor.

Largest 8 diffraction maxima, by angle, 2θ from 10° to 90°:
d_spacing  2θ/deg  I/Imax  hkl
4.391  20.22  20  1 0 0
3.284  27.15  100  1 0 1
2.535  35.40  27  1 1 0
2.155  41.92  12  1 0 2
2.007  45.18  23  2 0 1
1.771  51.62  29  2 -1 2
1.574  58.67  23  3 -1 1
1.544  59.91  10  1 0 3

abc: 5.0707 5.0707 4.9475
angles: 90.00 90.00 120.00
Space group P312 (No. 149)
Inequivalent atoms, fractional coordinates:
Nb 0.0000 0.0000 0.0000 [1 per cell]
Hg 0.6667 0.3333 0.5000 [1 per cell]
P 0.3333 0.6667 0.0000 [1 per cell]
O 0.0665 0.3738 0.1999 [6 per cell]

Record 7
Diffraction record for PrNb2HgO7. The PXRD pattern is theoretical, not measured: it uses a DFT-relaxed cell (GGA-PBE, Alexandria) and Cu Ka.
Kinematic intensities with the Lorentz-polarization factor, no thermal factor.

Largest 8 diffraction maxima, by angle, 2θ from 10° to 90°:
d_spacing  2θ/deg  I/Imax  hkl
3.875  22.95  63  1 0 1
3.488  25.54  100  1 0 3
2.970  30.08  94  1 0 5
2.701  33.17  78  1 1 2
2.499  35.94  52  1 0 7
1.966  46.17  48  2 0 0
1.757  52.06  48  1 1 10
1.640  56.09  34  2 1 5

abc: 3.9326 3.9326 22.6642
angles: 90.00 90.00 90.00
Space group I-4m2 (No. 119)
Inequivalent atoms, fractional coordinates:
Pr 0.0000 0.0000 0.0000 [2 per cell]
Nb 0.0000 0.0000 0.4008 [4 per cell]
Hg 0.0000 0.5000 0.2500 [2 per cell]
O 0.0000 0.0000 0.3197 [4 per cell]
O 0.0000 0.0000 0.5000 [2 per cell]
O 0.0000 0.5000 0.0814 [4 per cell]
O 0.0000 0.5000 0.5790 [4 per cell]

Record 8
Diffraction record for RbNb2Hg2O7. The PXRD pattern is theoretical, not measured: it uses a DFT-relaxed cell (GGA-PBE, Alexandria) and Cu Ka.
Kinematic intensities with the Lorentz-polarization factor, no thermal factor.

Largest 8 diffraction maxima, by angle, 2θ from 10° to 90°:
d_spacing  2θ/deg  I/Imax  hkl
8.557  10.34  55  0 0 3
5.391  16.44  32  1 0 1
4.183  21.24  50  1 0 4
3.184  28.03  100  1 1 0
3.054  29.25  85  1 0 7
2.204  40.95  32  0 2 7
1.838  49.59  27  3 0 0
1.812  50.36  37  2 1 7

abc: 6.3676 6.3676 25.6713
angles: 90.00 90.00 120.00
Space group R32 (No. 155, hexagonal axes)
Inequivalent atoms, fractional coordinates:
Rb 0.0000 0.0000 0.0000 [3 per cell]
Nb 0.0000 0.0000 0.4244 [6 per cell]
Hg 0.0000 0.0000 0.2772 [6 per cell]
O 0.0000 0.0000 0.5000 [3 per cell]
O 0.0153 0.2814 0.3993 [18 per cell]